Calculated X-ray powder pattern
Compound: LaAlZn2Pt4
Radiation: Cu Kα (weighted mean of Kα1 and Kα2)
Structure: DFT lattice parameters and positions (PBE)
Intensities are scaled so that the largest is 100.

```
data_LaAlZn2Pt4
_cell_length_a 4.3458
_cell_length_b 4.3458
_cell_length_c 26.1597
_cell_angle_alpha 90.00
_cell_angle_beta 90.00
_cell_angle_gamma 120.00
_space_group_name_H-M_alt 'R -3 m'
_space_group_IT_number 166
_space_group_name_Hall '-R 3 2"'
loop_
_atom_site_label
_atom_site_type_symbol
_atom_site_fract_x
_atom_site_fract_y
_atom_site_fract_z
La1 La 0.0000 0.0000 0.0000
Al1 Al 0.0000 0.0000 0.5000
Zn1 Zn 0.0000 0.0000 0.2412
Pt1 Pt 0.0000 0.0000 0.1348
Pt2 Pt 0.0000 0.0000 0.4044
```

Main lines, low angle first (5 to 70 degrees two-theta):
index, d/Å, I_rel
0 0 3, 8.720, 17
1 0 4, 3.262, 32
0 1 5, 3.055, 28
1 0 7, 2.652, 55
0 1 8, 2.468, 56
1 1 0, 2.173, 100
0 1 11, 2.010, 35
1 1 15, 1.360, 22